# Li3TlSn3
Simulated powder X-ray diffraction pattern, λ = 1.5418 Å (Cu Kα). Input: the GGA-PBE geometry in Alexandria.

Crystal structure
```
data_Li3TlSn3
_chemical_formula_sum 'Li6 Tl2 Sn6'
_space_group_name_H-M_alt 'P m -3 n'
_space_group_IT_number 223
_space_group_name_Hall '-P 4n 2 3'
_cell_length_a 7.4520
_cell_length_b 7.4520
_cell_length_c 7.4520
_cell_angle_alpha 90.00
_cell_angle_beta 90.00
_cell_angle_gamma 90.00
loop_
_atom_site_label
_atom_site_fract_x
_atom_site_fract_y
_atom_site_fract_z
Li1 0.0000 0.2500 0.5000
Tl1 0.0000 0.0000 0.0000
Sn1 0.0000 0.5000 0.2500
```

The 12 most intense peaks (2θ from 10° to 90°), in order of falling intensity:
2theta  I/Imax
29.4  100
26.7  64
45.5  62
23.9  42
48.9  20
79.2  19
69.0  18
55.1  18
43.8  18
56.6  17
58.1  15
67.7  15

***

# LiTlSn
Simulated powder X-ray diffraction pattern, λ = 1.5418 Å (Cu Kα). Input: the GGA-PBE geometry in Alexandria.

Crystal structure
```
data_LiTlSn
_chemical_formula_sum 'Li4 Tl4 Sn4'
_space_group_name_H-M_alt 'C 1 m 1'
_space_group_IT_number 8
_cell_length_a 15.7826
_cell_length_b 3.3896
_cell_length_c 5.7984
_cell_angle_alpha 90.00
_cell_angle_beta 108.20
_cell_angle_gamma 90.00
loop_
_space_group_symop_operation_xyz
'x,y,z'
'x,-y,z'
'x+1/2,y+1/2,z'
'x+1/2,-y+1/2,z'
loop_
_atom_site_label
_atom_site_fract_x
_atom_site_fract_y
_atom_site_fract_z
Li1 0.0000 0.0000 0.0000
Li2 0.1722 0.0000 0.5309
Tl1 0.1602 0.5000 0.0297
Tl2 0.3377 0.5000 0.5254
Sn1 0.0115 0.5000 0.4780
Sn2 0.3407 0.0000 0.0166
```

The 12 most intense peaks (2θ from 10° to 90°), in order of falling intensity:
2theta  I/Imax
33.2  100
38.5  71
32.5  59
35.9  40
27.0  38
16.7  36
24.2  32
22.8  31
40.5  25
11.8  25
69.7  22
54.7  21